Structure and calculated X-ray diffraction stick pattern of EuCdSn (a structure optimized by DFT (PBE); Cu Kα (λ = 1.5418 Å)).
Peak positions follow from Bragg's law for the DFT cell and can differ from measured ones.

Peak list (10 most intense, 10° ≤ 2θ ≤ 90°, in order of rising 2θ)
- (1 0 1), 23.49 deg, I 9.1
- (1 0 2), 30.75 deg, I 100.0
- (1 1 0), 35.98 deg, I 77.3
- (1 0 3), 40.26 deg, I 16.4
- (2 0 2), 48.04 deg, I 28.9
- (1 1 4), 59.93 deg, I 16.2
- (2 1 2), 61.46 deg, I 27.6
- (3 0 0), 64.68 deg, I 13.9
- (2 2 0), 76.30 deg, I 8.7
- (3 1 2), 84.47 deg, I 11.7

Lattice parameters (Å, degrees): 4.9923 4.9923 7.8563 90.00 90.00 120.00
Space group P6_3mc (No. 186)
Asymmetric unit:
Eu 0.0000 0.0000 0.0000
Cd 0.3333 0.6667 0.2037
Sn 0.3333 0.6667 0.7896